1.
Computed XRD peak list of Ac3Sb2Pb for Cu Ka, from a cell relaxed with PBE.
Lines closer than 0.1° are merged.

Main lines, in order of rising 2θ (2θ = 10–90°):
index  2theta  d_spacing  I (rel.)
1 1 1  29.21  3.057  100.0
2 0 -1  31.51  2.839  39.8
0 0 3  31.92  2.804  39.3
1 1 -2  32.09  2.789  78.1
2 0 2  41.18  2.192  19.7
0 2 3  54.02  1.697  19.0

Crystal structure
Cell lengths 5.7634, 4.2656, 8.5306 Å; angles 90.00, 99.55, 90.00 degrees
Space group P2/m (No. 10)
One atom of each set of equivalent atoms:
Ac 0.0000 0.0000 0.0000 (multiplicity 1)
Ac 0.3107 0.0000 0.6550 (multiplicity 2)
Sb 0.1941 0.5000 0.3198 (multiplicity 2)
Pb 0.5000 0.5000 0.0000 (multiplicity 1)


2.
Computed XRD peak list of AcSb3Pb for Cu Ka, from a cell relaxed with PBE.
Lines closer than 0.1° are merged.

Main lines, in order of rising 2θ (2θ = 10–90°):
index  2theta  d_spacing  I (rel.)
2 0 2  29.17  3.061  74.7
5 0 0  29.51  3.027  100.0
2 2 0  30.39  2.941  94.9
2 1 2  32.43  2.760  74.5
3 2 0  33.22  2.697  85.5
0 2 2  38.99  2.310  71.8

Crystal structure
Cell lengths 15.1370, 6.3832, 6.6952 Å; angles 90.00, 90.00, 90.00 degrees
Space group Pbcm (No. 57)
One atom of each set of equivalent atoms:
Ac 0.1721 0.0009 0.2500 (multiplicity 4)
Sb 0.0008 0.7500 0.0000 (multiplicity 4)
Sb 0.2372 0.0035 0.7500 (multiplicity 4)
Sb 0.3993 0.2315 0.2500 (multiplicity 4)
Pb 0.3965 0.7500 0.0000 (multiplicity 4)